Record 1
# Y2PRhI
Simulated powder diffractogram, Cu Kα (weighted mean of Kα1 and Kα2). Input: a PBE-relaxed structure.
Peak positions follow from Bragg's law for the DFT cell and can differ from measured ones.

Structure:
Unit cell a=5.4216 b=5.4216 c=4.8533 alpha=90.00 beta=90.00 gamma=90.00
Space group P4/mmm (No. 123)
One atom of each set of equivalent atoms:
Y 0.0000 0.5000 0.0000
P 0.0000 0.0000 0.5000
Rh 0.5000 0.5000 0.0000
I 0.5000 0.5000 0.5000

Peak list (12 most intense, 2θ from 10° to 90°, by angle)
- (1 0 0), 2θ 16.35, d = 5.422 Å, rel. 100
- (0 0 1), 2θ 18.28, d = 4.853 Å, rel. 17
- (1 1 1), 2θ 29.70, d = 3.008 Å, rel. 64
- (2 0 0), 2θ 33.04, d = 2.711 Å, rel. 88
- (0 0 2), 2θ 37.06, d = 2.426 Å, rel. 58
- (1 0 2), 2θ 40.74, d = 2.215 Å, rel. 20
- (2 2 0), 2θ 47.43, d = 1.917 Å, rel. 31
- (2 0 2), 2θ 50.48, d = 1.808 Å, rel. 57
- (2 1 2), 2θ 53.42, d = 1.715 Å, rel. 20
- (3 1 1), 2θ 56.96, d = 1.617 Å, rel. 20
- (2 2 2), 2θ 61.67, d = 1.504 Å, rel. 34
- (4 2 0), 2θ 78.96, d = 1.213 Å, rel. 17

Record 2
# Pr12Y3Er
Simulated powder diffractogram, Cu Kα (weighted mean of Kα1 and Kα2). Input: a PBE-relaxed structure.
Peak positions follow from Bragg's law for the DFT cell and can differ from measured ones.

Structure:
Unit cell a=5.2003 b=5.2003 c=20.7391 alpha=90.00 beta=90.00 gamma=90.00
Space group P4/mmm (No. 123)
One atom of each set of equivalent atoms:
Pr 0.0000 0.0000 0.0000
Pr 0.0000 0.0000 0.2493
Pr 0.0000 0.0000 0.5000
Pr 0.0000 0.5000 0.1241
Pr 0.0000 0.5000 0.3747
Y 0.5000 0.5000 0.2495
Y 0.5000 0.5000 0.5000
Er 0.5000 0.5000 0.0000

Peak list (12 most intense, 2θ from 10° to 90°, by angle)
- (1 1 4), 2θ 29.79, d = 2.999 Å, rel. 100
- (2 0 0), 2θ 34.49, d = 2.600 Å, rel. 34
- (0 0 8), 2θ 34.60, d = 2.592 Å, rel. 17
- (2 2 0), 2θ 49.63, d = 1.837 Å, rel. 36
- (3 1 4), 2θ 58.92, d = 1.568 Å, rel. 29
- (1 1 12), 2θ 59.06, d = 1.564 Å, rel. 14
- (2 2 8), 2θ 61.87, d = 1.500 Å, rel. 12
- (4 0 0), 2θ 72.74, d = 1.300 Å, rel. 4
- (3 3 4), 2θ 80.52, d = 1.193 Å, rel. 6
- (3 1 12), 2θ 80.65, d = 1.191 Å, rel. 12
- (4 2 0), 2θ 83.08, d = 1.162 Å, rel. 11
- (2 0 16), 2θ 83.30, d = 1.160 Å, rel. 5

Record 3
# Y5Tm2Ru5
Simulated powder diffractogram, Cu Kα (weighted mean of Kα1 and Kα2). Input: a PBE-relaxed structure.
Peak positions follow from Bragg's law for the DFT cell and can differ from measured ones.

Structure:
Unit cell a=4.8498 b=4.8498 c=39.0498 alpha=90.00 beta=90.00 gamma=120.00
Space group R-3m (No. 166, hexagonal axes)
One atom of each set of equivalent atoms:
Y 0.0000 0.0000 0.0000
Y 0.0000 0.0000 0.1904
Y 0.0000 0.0000 0.2836
Tm 0.0000 0.0000 0.4280
Ru 0.0000 0.0000 0.1128
Ru 0.0000 0.0000 0.3555
Ru 0.0000 0.0000 0.5000

Peak list (12 most intense, 2θ from 10° to 90°, by angle)
- (1 0 1), 2θ 21.28, d = 4.176 Å, rel. 16
- (1 0 7), 2θ 26.57, d = 3.355 Å, rel. 9
- (1 0 10), 2θ 31.28, d = 2.860 Å, rel. 10
- (0 1 11), 2θ 33.04, d = 2.711 Å, rel. 11
- (1 0 13), 2θ 36.79, d = 2.443 Å, rel. 51
- (1 1 0), 2θ 37.07, d = 2.425 Å, rel. 100
- (0 1 14), 2θ 38.75, d = 2.324 Å, rel. 21
- (0 2 13), 2θ 53.22, d = 1.721 Å, rel. 17
- (2 1 13), 2θ 66.63, d = 1.404 Å, rel. 17
- (3 0 0), 2θ 66.82, d = 1.400 Å, rel. 17
- (1 2 14), 2θ 67.94, d = 1.380 Å, rel. 8
- (2 2 0), 2θ 78.96, d = 1.212 Å, rel. 11

Record 4
# Pm4C2Cl3
Simulated powder diffractogram, Cu Kα (weighted mean of Kα1 and Kα2). Input: a PBE-relaxed structure.
Peak positions follow from Bragg's law for the DFT cell and can differ from measured ones.

Structure:
Unit cell a=14.3847 b=3.5866 c=8.4567 alpha=90.00 beta=100.80 gamma=90.00
Space group C2/m (No. 12)
One atom of each set of equivalent atoms:
Pm 0.0953 0.0000 0.1983
Pm 0.1787 0.5000 0.6077
C 0.1966 0.5000 0.3274
Cl 0.0000 0.0000 0.5000
Cl 0.0837 0.5000 0.8945

Peak list (12 most intense, 2θ from 10° to 90°, by angle)
- (0 0 1), 2θ 10.65, d = 8.307 Å, rel. 37
- (2 0 -1), 2θ 14.86, d = 5.961 Å, rel. 82
- (2 0 2), 2θ 26.86, d = 3.319 Å, rel. 41
- (1 1 -1), 2θ 27.35, d = 3.261 Å, rel. 95
- (4 0 1), 2θ 29.27, d = 3.051 Å, rel. 36
- (2 0 -3), 2θ 32.44, d = 2.760 Å, rel. 75
- (3 1 1), 2θ 34.37, d = 2.609 Å, rel. 100
- (3 1 -2), 2θ 36.11, d = 2.487 Å, rel. 50
- (6 0 -1), 2θ 37.70, d = 2.386 Å, rel. 38
- (5 1 0), 2θ 40.65, d = 2.220 Å, rel. 39
- (1 1 3), 2θ 42.67, d = 2.119 Å, rel. 33
- (5 1 -2), 2θ 43.30, d = 2.090 Å, rel. 35

Record 5
# Er4Mg3In2
Simulated powder diffractogram, Cu Kα (weighted mean of Kα1 and Kα2). Input: a PBE-relaxed structure.
Peak positions follow from Bragg's law for the DFT cell and can differ from measured ones.

Structure:
Unit cell a=9.0540 b=5.2240 c=9.9929 alpha=90.00 beta=90.05 gamma=90.00
Space group C2/m (No. 12)
One atom of each set of equivalent atoms:
Er 0.0001 0.0000 0.1734
Er 0.1668 0.5000 0.3756
Mg 0.0000 0.0000 0.5000
Mg 0.1666 0.5000 0.0116
In 0.1665 0.5000 0.6981

Peak list (12 most intense, 2θ from 10° to 90°, by angle)
- (0 0 2), 2θ 17.75, d = 4.996 Å, rel. 15
- (1 1 1), 2θ 21.56, d = 4.123 Å, rel. 43
- (1 1 2), 2θ 26.57, d = 3.354 Å, rel. 13
- (2 0 3), 2θ 33.40, d = 2.683 Å, rel. 100
- (3 1 0), 2θ 34.32, d = 2.613 Å, rel. 96
- (3 1 -2), 2θ 38.90, d = 2.315 Å, rel. 13
- (2 2 3), 2θ 48.64, d = 1.872 Å, rel. 35
- (1 1 6), 2θ 59.11, d = 1.563 Å, rel. 14
- (5 1 3), 2θ 60.88, d = 1.522 Å, rel. 35
- (6 0 0), 2θ 61.47, d = 1.509 Å, rel. 18
- (5 1 -6), 2θ 80.49, d = 1.193 Å, rel. 11
- (2 4 3), 2θ 82.05, d = 1.175 Å, rel. 15